The following is a calculated powder X-ray diffraction pattern of Ac2GaHg8. It was derived from a crystal structure in Alexandria, relaxed with PBE, using Cu Kα, 1.54184 Å.
Peak positions follow from Bragg's law for the DFT cell and can differ from measured ones.

Crystal structure
```
data_Ac2GaHg8
_chemical_formula_sum 'Ac2 Ga1 Hg8'
_symmetry_space_group_name_H-M 'P -1'
_symmetry_Int_Tables_number 2
_cell_length_a 5.273
_cell_length_b 7.426
_cell_length_c 7.971
_cell_angle_alpha 79.29
_cell_angle_beta 78.86
_cell_angle_gamma 87.21
loop_
_symmetry_equiv_pos_as_xyz
'x,y,z'
'-x,-y,-z'
loop_
_atom_site_label
_atom_site_type_symbol
_atom_site_fract_x
_atom_site_fract_y
_atom_site_fract_z
Ac1 Ac 0.213 0.254 0.152
Ga1 Ga 0.000 0.500 0.500
Hg1 Hg 0.205 0.726 0.126
Hg2 Hg 0.237 0.865 0.479
Hg3 Hg 0.288 0.054 0.785
Hg4 Hg 0.364 0.502 0.720
```

Main lines, most intense first (5 to 70 degrees two-theta):
2theta	Rel. int.
32.81	100
34.74	82
36.06	29
32.34	25
34.99	23
31.48	21
34.44	19
36.70	19
59.66	18
37.58	17
31.94	17
28.91	15


The following is a calculated powder X-ray diffraction pattern of TeBr5N2. It was derived from a crystal structure in Alexandria, relaxed with PBE, using Cu Kα, 1.54184 Å.
Peak positions follow from Bragg's law for the DFT cell and can differ from measured ones.

Crystal structure
```
data_TeBr5N2
_chemical_formula_sum 'Te4 Br20 N8'
_symmetry_space_group_name_H-M 'F m m 2'
_symmetry_Int_Tables_number 42
_symmetry_space_group_name_Hall 'F 2 -2'
_cell_length_a 12.105
_cell_length_b 12.135
_cell_length_c 8.884
_cell_angle_alpha 90.00
_cell_angle_beta 90.00
_cell_angle_gamma 90.00
loop_
_atom_site_label
_atom_site_type_symbol
_atom_site_fract_x
_atom_site_fract_y
_atom_site_fract_z
Te1 Te 0.000 0.000 0.000
Br1 Br 0.000 0.000 0.287
Br2 Br 0.000 0.213 0.953
Br3 Br 0.213 0.000 0.950
N1 N 0.250 0.250 0.198
```

Main lines, most intense first (5 to 70 degrees two-theta):
2theta	Rel. int.
14.36	100
29.48	63
14.62	51
19.99	44
39.24	38
28.95	36
49.15	31
31.98	27
35.88	27
25.31	18
42.18	17
46.03	16


The following is a calculated powder X-ray diffraction pattern of In2Te3O9. It was derived from a crystal structure in Alexandria, relaxed with PBE, using Cu Kα, 1.54184 Å.
Peak positions follow from Bragg's law for the DFT cell and can differ from measured ones.

Crystal structure
```
data_In2Te3O9
_chemical_formula_sum 'In8 Te12 O36'
_symmetry_space_group_name_H-M 'P n m a'
_symmetry_Int_Tables_number 62
_cell_length_a 8.221
_cell_length_b 18.577
_cell_length_c 5.560
_cell_angle_alpha 90.00
_cell_angle_beta 90.00
_cell_angle_gamma 90.00
loop_
_symmetry_equiv_pos_as_xyz
'x,y,z'
'-x,-y,-z'
'-x+1/2,-y,z+1/2'
'x+1/2,y,-z+1/2'
'x+1/2,-y+1/2,-z+1/2'
'-x+1/2,y+1/2,z+1/2'
'-x,y+1/2,-z'
'x,-y+1/2,z'
loop_
_atom_site_label
_atom_site_type_symbol
_atom_site_fract_x
_atom_site_fract_y
_atom_site_fract_z
In1 In 0.191 0.064 0.204
Te1 Te 0.134 0.631 0.183
Te2 Te 0.163 0.250 0.267
O1 O 0.063 0.573 0.906
O2 O 0.135 0.750 0.945
O3 O 0.154 0.127 0.536
O4 O 0.179 0.541 0.370
O5 O 0.219 0.173 0.045
```

Main lines, most intense first (5 to 70 degrees two-theta):
2theta	Rel. int.
28.90	100
26.98	96
32.48	33
21.62	33
46.39	30
32.20	21
36.37	18
47.15	15
39.15	12
39.33	12
56.62	11
19.11	11


What is the formula in the third record?
In2Te3O9